Simulated powder diffraction line list of Ce4SmS5 for Cu Ka, from a crystal structure in Alexandria, relaxed with GGA-PBE.

Principal peaks in the range 2θ from 10° to 90°, most intense first:
- 2.840 Å, 31.5°, rel. 100
- 3.280 Å, 27.2°, rel. 73
- 2.009 Å, 45.1°, rel. 72
- 1.713 Å, 53.5°, rel. 36
- 1.270 Å, 74.7°, rel. 32
- 1.640 Å, 56.1°, rel. 25
- 1.160 Å, 83.3°, rel. 24
- 1.303 Å, 72.5°, rel. 14

Crystal structure
abc: 6.9576 6.9576 6.9576
angles: 99.59 99.59 131.81
Fractional coordinates of all 10 atoms:
1 Ce 0.1004 0.6996 0.8000
2 Ce 0.3004 0.1004 0.4008
3 Ce 0.6996 0.8996 0.5992
4 Ce 0.8996 0.3004 0.2000
5 Sm 0.5000 0.5000 0.0000
6 S 0.0000 0.0000 0.0000
7 S 0.2010 0.4000 0.6010
8 S 0.4000 0.7990 0.1990
9 S 0.6000 0.2010 0.8010
10 S 0.7990 0.6000 0.3990